# NbGeSb
Theoretical X-ray powder pattern, Cu Kα (weighted mean of Kα1 and Kα2). Input: DFT lattice parameters and positions (PBE).
Peak positions follow from Bragg's law for the DFT cell and can differ from measured ones.

Most intense lines, 2θ from 10° to 90°, in order of rising 2θ:
| h k l | d [Å] | I (rel.) |
| --- | --- | --- |
| 1 0 2 | 2.781 | 77 |
| 0 0 3 | 2.765 | 21 |
| 1 1 0 | 2.651 | 43 |
| 1 1 1 | 2.525 | 100 |
| 1 1 2 | 2.234 | 62 |
| 1 0 3 | 2.225 | 99 |
| 2 0 0 | 1.875 | 65 |
| 2 1 2 | 1.554 | 26 |
| 2 1 3 | 1.434 | 48 |
| 2 2 0 | 1.326 | 20 |
| 1 1 6 | 1.226 | 17 |
| 3 1 1 | 1.174 | 17 |

Structural model:
abc: 3.749 3.749 8.295
angles: 90.00 90.00 90.00
Space group P4/nmm (No. 129, origin choice 2)
One atom of each set of equivalent atoms:
1 Nb 0.250 0.250 0.245 [2 per cell]
2 Ge 0.250 0.750 0.000 [2 per cell]
3 Sb 0.250 0.250 0.614 [2 per cell]